Record 1
Starting from the PBE+U geometry in the Materials Project, the PXRD pattern of KMgScMo2O8 was calculated for Cu Kα.
Intensities are scaled so that the largest is 100.

The 10 most intense peaks (2θ from 10° to 90°), in order of falling intensity:
(hkl)	2θ (°)	Rel. int.
0 1 1	19.6	100.0
1 1 0	30.3	38.4
0 1 2	25.0	26.7
2 1 1	48.0	17.6
1 0 3	32.2	16.1
0 2 3	44.8	13.7
0 0 2	17.8	12.2
1 0 4	40.4	11.0
1 1 5	55.8	10.6
1 1 2	35.4	9.5

Cell and atoms:
```
data_KMgScMo2O8
_chemical_formula_sum 'K1 Mg1 Sc1 Mo2 O8'
_space_group_name_H-M_alt 'P 3 m 1'
_space_group_IT_number 156
_cell_length_a 5.8936
_cell_length_b 5.8936
_cell_length_c 9.9385
_cell_angle_alpha 90.00
_cell_angle_beta 90.00
_cell_angle_gamma 120.00
loop_
_space_group_symop_operation_xyz
'x,y,z'
'-y,x-y,z'
'-x+y,-x,z'
'-y,-x,z'
'-x+y,y,z'
'x,x-y,z'
loop_
_atom_site_label
_atom_site_fract_x
_atom_site_fract_y
_atom_site_fract_z
K1 0.0000 0.0000 0.0000
Mg1 0.0000 0.0000 0.3705
Sc1 0.0000 0.0000 0.6383
Mo1 0.3333 0.6667 0.8264
Mo2 0.6667 0.3333 0.4373
O1 0.1640 0.3281 0.7729
O2 0.3041 0.1521 0.4965
O3 0.3333 0.6667 0.0032
O4 0.6667 0.3333 0.2552
```

***

Record 2
Starting from the PBE+U geometry in the Materials Project, the PXRD pattern of KMgScMo2O8 was calculated for Cu Kα.
Intensities are scaled so that the largest is 100.

The 10 most intense peaks (2θ from 10° to 90°), in order of falling intensity:
(hkl)	2θ (°)	Rel. int.
0 1 1	21.6	100.0
1 1 0	30.9	67.6
1 0 2	30.7	40.9
0 2 2	44.1	31.5
1 2 1	49.7	19.4
2 1 2	54.8	15.3
0 1 3	41.9	13.6
2 2 0	64.3	13.3
2 0 4	63.9	12.2
3 0 0	54.9	12.1

Cell and atoms:
```
data_KMgScMo2O8
_chemical_formula_sum 'K1 Mg1 Sc1 Mo2 O8'
_space_group_name_H-M_alt 'P 3 m 1'
_space_group_IT_number 156
_cell_length_a 5.7946
_cell_length_b 5.7946
_cell_length_c 7.1563
_cell_angle_alpha 90.00
_cell_angle_beta 90.00
_cell_angle_gamma 120.00
loop_
_space_group_symop_operation_xyz
'x,y,z'
'-y,x-y,z'
'-x+y,-x,z'
'-y,-x,z'
'-x+y,y,z'
'x,x-y,z'
loop_
_atom_site_label
_atom_site_fract_x
_atom_site_fract_y
_atom_site_fract_z
K1 0.0000 0.0000 0.0000
Mg1 0.6667 0.3333 0.6805
Sc1 0.0000 0.0000 0.5171
Mo1 0.3333 0.6667 0.8098
Mo2 0.6667 0.3333 0.2126
O1 0.1620 0.3240 0.6759
O2 0.3333 0.6667 0.0612
O3 0.3431 0.1715 0.3152
O4 0.6667 0.3333 0.9533
```

***

Record 3
Starting from the PBE+U geometry in the Materials Project, the PXRD pattern of K2Sm2MgMo4O16 was calculated for Cu Kα.
Intensities are scaled so that the largest is 100.

The 10 most intense peaks (2θ from 10° to 90°), in order of falling intensity:
(hkl)	2θ (°)	Rel. int.
0 1 -1	13.9	100.0
0 2 -2	27.8	94.2
0 2 0	29.6	83.0
2 0 0	28.0	70.9
1 1 -2	26.3	68.0
2 -2 0	28.3	61.4
0 0 2	25.9	59.7
1 -1 2	26.7	50.0
-1 1 2	32.3	37.2
1 1 2	44.4	33.9

Cell and atoms:
```
data_K2Sm2MgMo4O16
_chemical_formula_sum 'K2 Sm2 Mg1 Mo4 O16'
_space_group_name_H-M_alt 'P 1'
_space_group_IT_number 1
_cell_length_a 7.4626
_cell_length_b 7.7882
_cell_length_c 7.9723
_cell_angle_alpha 114.91
_cell_angle_beta 93.81
_cell_angle_gamma 116.16
loop_
_space_group_symop_operation_xyz
'x,y,z'
loop_
_atom_site_label
_atom_site_fract_x
_atom_site_fract_y
_atom_site_fract_z
K1 0.0000 0.0000 0.0000
K2 0.2007 0.5515 0.7190
Sm1 0.5517 0.4979 0.0590
Sm2 0.5686 0.0172 0.6649
Mg1 0.8690 0.1270 0.3894
Mo1 0.0331 0.5216 0.1801
Mo2 0.0793 0.9658 0.5414
Mo3 0.4696 0.0031 0.1560
Mo4 0.6189 0.4875 0.5370
O1 0.1560 0.1562 0.4349
O2 0.1970 0.8040 0.0774
O3 0.2143 0.4533 0.0690
O4 0.2395 0.7910 0.4233
O5 0.2981 0.1241 0.7689
O6 0.5018 0.3017 0.2367
O7 0.5091 0.6460 0.5176
O8 0.5203 0.9633 0.9157
O9 0.5749 0.5004 0.7608
O10 0.6277 0.8566 0.1689
O11 0.6307 0.1993 0.4573
O12 0.8077 0.3782 0.9574
O13 0.8789 0.0603 0.6099
O14 0.8818 0.6981 0.2823
O15 0.8961 0.6853 0.6179
O16 0.9398 0.3306 0.2699
```

***

Record 4
Starting from the PBE+U geometry in the Materials Project, the PXRD pattern of K2Sm2MgMo4O16 was calculated for Cu Kα.
Intensities are scaled so that the largest is 100.

The 10 most intense peaks (2θ from 10° to 90°), in order of falling intensity:
(hkl)	2θ (°)	Rel. int.
2 2 0	28.7	100.0
1 1 0	14.2	65.2
0 0 2	26.6	64.3
0 2 0	26.8	61.6
2 0 0	30.9	44.1
4 2 2	48.0	27.3
2 2 2	32.5	27.3
1 2 -1	27.2	26.9
0 2 -2	32.8	24.0
4 0 2	54.7	20.4

Cell and atoms:
```
data_K2Sm2MgMo4O16
_chemical_formula_sum 'K2 Sm2 Mg1 Mo4 O16'
_space_group_name_H-M_alt 'P 1'
_space_group_IT_number 1
_cell_length_a 7.5939
_cell_length_b 7.7542
_cell_length_c 7.7951
_cell_angle_alpha 89.22
_cell_angle_beta 62.56
_cell_angle_gamma 62.54
loop_
_space_group_symop_operation_xyz
'x,y,z'
loop_
_atom_site_label
_atom_site_fract_x
_atom_site_fract_y
_atom_site_fract_z
K1 0.0000 0.0000 0.0000
K2 0.4990 0.3187 0.6857
Sm1 0.5002 0.8712 0.1272
Sm2 0.9983 0.3461 0.6598
Mg1 0.9983 0.7358 0.2683
Mo1 0.0294 0.8083 0.6094
Mo2 0.4681 0.4108 0.1877
Mo3 0.5297 0.8153 0.5912
Mo4 0.9689 0.3923 0.1944
O1 0.0570 0.3266 0.9296
O2 0.1178 0.1728 0.2730
O3 0.2195 0.4648 0.1096
O4 0.2201 0.4832 0.4665
O5 0.2447 0.7523 0.2933
O6 0.3155 0.7359 0.6364
O7 0.3784 0.0406 0.5187
O8 0.4332 0.8898 0.8520
O9 0.5656 0.1487 0.1115
O10 0.6177 0.4875 0.9654
O11 0.6833 0.3641 0.2658
O12 0.7522 0.7108 0.2510
O13 0.7782 0.8935 0.5384
O14 0.7790 0.5344 0.5181
O15 0.8826 0.7252 0.8261
O16 0.9402 0.0742 0.6767
```